No. 1
# ZnW4O9
Calculated powder X-ray diffraction pattern, λ = 1.5418 Å (Cu Kα). Input: DFT lattice parameters and positions (PBE+U).
Peak positions follow from Bragg's law for the DFT cell and can differ from measured ones.

Top 12 peaks for 15° ≤ 2θ ≤ 90°, by angle:
2theta  intensity
22.92  63
25.75  14
26.33  16
28.85  100
29.38  16
34.74  22
37.16  57
41.26  45
46.83  19
47.72  31
55.94  32
64.15  23

Structure:
```
data_ZnW4O9
_space_group_name_H-M_alt 'P 1'
_space_group_IT_number 1
_cell_length_a 6.920
_cell_length_b 6.920
_cell_length_c 3.880
_cell_angle_alpha 90.00
_cell_angle_beta 90.00
_cell_angle_gamma 90.00
loop_
_space_group_symop_operation_xyz
'x,y,z'
loop_
_atom_site_label
_atom_site_type_symbol
_atom_site_fract_x
_atom_site_fract_y
_atom_site_fract_z
Zn1 Zn 0.000 0.000 0.000
W1 W 0.198 0.371 0.500
W2 W 0.371 0.802 0.500
W3 W 0.629 0.198 0.500
W4 W 0.802 0.629 0.500
O1 O 0.107 0.654 0.500
O2 O 0.202 0.367 0.000
O3 O 0.346 0.107 0.500
O4 O 0.367 0.798 0.000
O5 O 0.500 0.500 0.500
O6 O 0.633 0.202 0.000
O7 O 0.654 0.893 0.500
O8 O 0.798 0.633 0.000
O9 O 0.893 0.346 0.500
```

No. 2
# LiCo2O2F3
Calculated powder X-ray diffraction pattern, λ = 1.5418 Å (Cu Kα). Input: DFT lattice parameters and positions (PBE+U).
Peak positions follow from Bragg's law for the DFT cell and can differ from measured ones.

Top 12 peaks for 15° ≤ 2θ ≤ 90°, by angle:
2theta  intensity
17.13  100
17.84  16
19.81  19
26.01  77
27.42  15
31.31  16
31.56  55
40.24  23
44.94  16
47.57  29
49.99  25
59.31  25

Structure:
```
data_LiCo2O2F3
_space_group_name_H-M_alt 'P 1'
_space_group_IT_number 1
_cell_length_a 5.296
_cell_length_b 5.296
_cell_length_c 10.353
_cell_angle_alpha 90.00
_cell_angle_beta 90.00
_cell_angle_gamma 139.70
loop_
_space_group_symop_operation_xyz
'x,y,z'
loop_
_atom_site_label
_atom_site_type_symbol
_atom_site_fract_x
_atom_site_fract_y
_atom_site_fract_z
Li1 Li 0.173 0.827 0.750
Li2 Li 0.827 0.173 0.250
Co1 Co 0.146 0.854 0.058
Co2 Co 0.146 0.854 0.442
Co3 Co 0.854 0.146 0.558
Co4 Co 0.854 0.146 0.942
O1 O 0.324 0.676 0.547
O2 O 0.324 0.676 0.953
O3 O 0.676 0.324 0.047
O4 O 0.676 0.324 0.453
F1 F 0.040 0.960 0.618
F2 F 0.040 0.960 0.882
F3 F 0.237 0.763 0.250
F4 F 0.763 0.237 0.750
F5 F 0.960 0.040 0.118
F6 F 0.960 0.040 0.382
```

No. 3
# Na3CoBPO7
Calculated powder X-ray diffraction pattern, λ = 1.5418 Å (Cu Kα). Input: DFT lattice parameters and positions (PBE+U).
Peak positions follow from Bragg's law for the DFT cell and can differ from measured ones.

Top 12 peaks for 15° ≤ 2θ ≤ 90°, by angle:
2theta  intensity
16.49  47
19.54  33
20.08  43
26.04  33
26.32  100
29.99  28
32.99  59
33.33  93
34.51  96
41.94  29
49.22  37
54.19  46

Structure:
```
data_Na3CoBPO7
_space_group_name_H-M_alt 'P 1'
_space_group_IT_number 1
_cell_length_a 5.201
_cell_length_b 11.140
_cell_length_c 11.145
_cell_angle_alpha 74.86
_cell_angle_beta 88.57
_cell_angle_gamma 88.59
loop_
_space_group_symop_operation_xyz
'x,y,z'
loop_
_atom_site_label
_atom_site_type_symbol
_atom_site_fract_x
_atom_site_fract_y
_atom_site_fract_z
Na1 Na 0.000 0.000 0.000
Na2 Na 0.000 0.240 0.759
Na3 Na 0.000 0.499 0.499
Na4 Na 0.000 0.741 0.258
Na5 Na 0.489 0.485 0.989
Na6 Na 0.491 0.230 0.244
Na7 Na 0.491 0.730 0.743
Na8 Na 0.491 0.984 0.488
Na9 Na 0.507 0.527 0.287
Na10 Na 0.509 0.027 0.785
Na11 Na 0.980 0.198 0.457
Na12 Na 0.981 0.699 0.957
Co1 Co 0.528 0.407 0.666
Co2 Co 0.528 0.908 0.166
Co3 Co 0.965 0.321 0.073
Co4 Co 0.972 0.818 0.576
B1 B 0.012 0.454 0.214
B2 B 0.018 0.954 0.714
B3 B 0.475 0.274 0.533
B4 B 0.476 0.773 0.033
P1 P 0.027 0.028 0.286
P2 P 0.028 0.527 0.786
P3 P 0.463 0.698 0.457
P4 P 0.465 0.198 0.956
O1 O 0.036 0.030 0.789
O2 O 0.042 0.531 0.288
O3 O 0.165 0.721 0.480
O4 O 0.171 0.220 0.980
O5 O 0.215 0.398 0.161
O6 O 0.224 0.903 0.661
O7 O 0.276 0.329 0.588
O8 O 0.276 0.829 0.087
O9 O 0.322 0.005 0.264
O10 O 0.322 0.505 0.764
O11 O 0.449 0.199 0.458
O12 O 0.449 0.698 0.958
O13 O 0.521 0.557 0.499
O14 O 0.521 0.740 0.316
O15 O 0.527 0.240 0.815
O16 O 0.528 0.057 0.998
O17 O 0.614 0.771 0.531
O18 O 0.618 0.272 0.030
O19 O 0.710 0.310 0.569
O20 O 0.710 0.810 0.069
O21 O 0.774 0.419 0.180
O22 O 0.783 0.917 0.676
O23 O 0.871 0.454 0.713
O24 O 0.871 0.954 0.213
O25 O 0.965 0.170 0.245
O26 O 0.965 0.669 0.746
O27 O 0.966 0.484 0.929
O28 O 0.966 0.986 0.428
```